(1)
# LiNiSb
Computed powder XRD pattern, Cu Kα. Input: a DFT-relaxed cell (PBE, Alexandria).

The 10 most intense peaks (5 to 70 degrees two-theta), in order of falling intensity:
hkl, 2θ/deg, I_rel
1 1 0, 24.7, 100
0 2 0, 42.7, 63
1 1 2, 39.8, 40
0 0 2, 26.5, 32
0 0 1, 13.2, 24
0 2 2, 50.9, 21
2 0 -3, 39.7, 20
4 0 -1, 49.9, 14
2 2 -3, 59.7, 12
4 2 -1, 67.7, 11

Crystal structure
```
data_LiNiSb
_chemical_formula_sum 'Li4 Ni4 Sb4'
_space_group_name_H-M_alt 'C 1 m 1'
_space_group_IT_number 8
_cell_length_a 7.3353
_cell_length_b 4.2404
_cell_length_c 7.1691
_cell_angle_alpha 90.00
_cell_angle_beta 110.17
_cell_angle_gamma 90.00
loop_
_space_group_symop_operation_xyz
'x,y,z'
'x,-y,z'
'x+1/2,y+1/2,z'
'x+1/2,-y+1/2,z'
loop_
_atom_site_label
_atom_site_type_symbol
_atom_site_fract_x
_atom_site_fract_y
_atom_site_fract_z
Li1 Li 0.0000 0.0000 0.0000
Li2 Li 0.1590 0.0000 0.4759
Ni1 Ni 0.3698 0.5000 0.6079
Ni2 Ni 0.4455 0.0000 0.3358
Sb1 Sb 0.0739 0.5000 0.7197
Sb2 Sb 0.2434 0.5000 0.2299
```

***

(2)
# Ac3Zn2CuPd9
Computed powder XRD pattern, Cu Kα. Input: a DFT-relaxed cell (PBE, Alexandria).

The 10 most intense peaks (5 to 70 degrees two-theta), in order of falling intensity:
hkl, 2θ/deg, I_rel
0 2 1, 30.7, 100
2 0 2, 38.5, 92
2 2 0, 49.1, 46
1 1 0, 24.0, 27
2 2 3, 64.9, 24
0 2 4, 61.7, 23
0 4 2, 64.0, 20
0 0 3, 39.8, 17
0 1 2, 29.7, 16
4 0 1, 59.0, 16

Crystal structure
```
data_Ac3Zn2CuPd9
_chemical_formula_sum 'Ac3 Zn2 Cu1 Pd9'
_space_group_name_H-M_alt 'P -3 m 1'
_space_group_IT_number 164
_space_group_name_Hall '-P 3 2"'
_cell_length_a 7.4276
_cell_length_b 7.4276
_cell_length_c 6.8028
_cell_angle_alpha 90.00
_cell_angle_beta 90.00
_cell_angle_gamma 120.00
loop_
_atom_site_label
_atom_site_type_symbol
_atom_site_fract_x
_atom_site_fract_y
_atom_site_fract_z
Ac1 Ac 0.0000 0.0000 0.0000
Ac2 Ac 0.3333 0.6667 0.6646
Zn1 Zn 0.3333 0.6667 0.1684
Cu1 Cu 0.0000 0.0000 0.5000
Pd1 Pd 0.0000 0.5000 0.0000
Pd2 Pd 0.1666 0.3332 0.3342
```

***

Q: What is the formula in the second record?
A: Ac3Zn2CuPd9